# Nd4Ge3
Theoretical X-ray diffraction stick pattern, copper Kα. Input: a crystal structure in OQMD, relaxed with GGA-PBE.
No peak broadening, texture or thermal motion is included.

Atomic structure:
Cell: 9.178 9.178 9.178 Å, 90.00 90.00 90.00°
Space group I-43d (No. 220)
Symmetry-distinct sites (fractional):
Nd: 0.065 0.435 0.565 [16 per cell]
Ge: 0.000 0.250 0.875 [12 per cell]

Main lines, by angle (10° ≤ 2θ ≤ 80°):
23.7°, I = 9, hkl 2 1 1
27.5°, I = 16, hkl 2 2 0
30.8°, I = 100, hkl 3 1 0
36.6°, I = 59, hkl 3 2 1
48.6°, I = 18, hkl 4 2 2
50.7°, I = 34, hkl 4 3 1
62.4°, I = 22, hkl 6 1 1
64.2°, I = 11, hkl 6 2 0
66.0°, I = 14, hkl 5 4 1
76.2°, I = 15, hkl 7 2 1

***

# Nd3Ge4
Theoretical X-ray diffraction stick pattern, copper Kα. Input: a crystal structure in OQMD, relaxed with GGA-PBE.
No peak broadening, texture or thermal motion is included.

Atomic structure:
Cell: 4.224 11.041 14.637 Å, 90.00 90.00 90.00°
Space group Cmcm (No. 63)
Symmetry-distinct sites (fractional):
Nd: 0.000 0.043 0.250 [4 per cell]
Nd: 0.000 0.331 0.097 [8 per cell]
Ge: 0.000 0.000 0.000 [4 per cell]
Ge: 0.000 0.233 0.750 [4 per cell]
Ge: 0.000 0.380 0.609 [8 per cell]

Main lines, by angle (10° ≤ 2θ ≤ 80°):
29.1°, I = 28, hkl 1 1 3
32.3°, I = 85, hkl 1 3 0
33.0°, I = 28, hkl 0 4 1
33.4°, I = 100, hkl 1 1 4
36.8°, I = 24, hkl 0 0 6
37.3°, I = 34, hkl 1 3 3
41.0°, I = 31, hkl 0 4 4
42.8°, I = 37, hkl 2 0 0
49.8°, I = 30, hkl 0 0 8
55.1°, I = 24, hkl 0 4 7

***

# Nd3Ge7
Theoretical X-ray diffraction stick pattern, copper Kα. Input: a crystal structure in OQMD, relaxed with GGA-PBE.
No peak broadening, texture or thermal motion is included.

Atomic structure:
Cell: 4.167 24.971 4.301 Å, 90.00 90.00 90.00°
Space group Cmmm (No. 65)
Symmetry-distinct sites (fractional):
Nd: 0.000 0.000 0.000 [2 per cell]
Nd: 0.000 0.182 0.000 [4 per cell]
Ge: 0.000 0.092 0.500 [4 per cell]
Ge: 0.000 0.282 0.500 [4 per cell]
Ge: 0.000 0.409 0.000 [4 per cell]
Ge: 0.000 0.500 0.500 [2 per cell]

Main lines, by angle (10° ≤ 2θ ≤ 80°):
29.9°, I = 13, hkl 0 6 1
35.0°, I = 100, hkl 1 5 1
36.0°, I = 13, hkl 0 10 0
42.0°, I = 18, hkl 0 0 2
43.4°, I = 20, hkl 2 0 0
45.5°, I = 7, hkl 1 11 0
62.0°, I = 14, hkl 2 0 2
71.6°, I = 8, hkl 1 17 1
72.2°, I = 12, hkl 1 5 3
74.2°, I = 11, hkl 3 5 1

***

# Nd2NiGe6
Theoretical X-ray diffraction stick pattern, copper Kα. Input: a crystal structure in OQMD, relaxed with GGA-PBE.
No peak broadening, texture or thermal motion is included.

Atomic structure:
Cell: 4.151 4.072 21.919 Å, 90.00 90.00 90.00°
Space group Amm2 (No. 38)
Symmetry-distinct sites (fractional):
Nd: 0.000 0.000 0.000 [2 per cell]
Nd: 0.000 0.000 0.334 [2 per cell]
Ni: 0.500 0.000 0.776 [2 per cell]
Ge: 0.000 0.000 0.607 [2 per cell]
Ge: 0.000 0.000 0.721 [2 per cell]
Ge: 0.500 0.000 0.105 [2 per cell]
Ge: 0.500 0.000 0.220 [2 per cell]
Ge: 0.500 0.000 0.455 [2 per cell]
Ge: 0.500 0.000 0.883 [2 per cell]

Main lines, by angle (10° ≤ 2θ ≤ 80°):
32.7°, I = 37, hkl 0 0 8
33.2°, I = 100, hkl 1 1 3
36.2°, I = 11, hkl 0 1 7
37.1°, I = 19, hkl 1 1 5
43.3°, I = 18, hkl 0 1 9
43.6°, I = 24, hkl 2 0 0
44.5°, I = 23, hkl 0 2 0
56.3°, I = 15, hkl 0 2 8
63.1°, I = 11, hkl 2 1 9
64.1°, I = 15, hkl 2 2 0

***

# NdNi2GeP
Theoretical X-ray diffraction stick pattern, copper Kα. Input: a crystal structure in OQMD, relaxed with GGA-PBE.
No peak broadening, texture or thermal motion is included.

Atomic structure:
Cell: 4.032 4.032 9.688 Å, 90.00 90.00 90.00°
Space group P4/nmm (No. 129, origin choice 2)
Symmetry-distinct sites (fractional):
Nd: 0.250 0.250 0.240 [2 per cell]
Ni: 0.250 0.250 0.639 [2 per cell]
Ni: 0.250 0.750 0.000 [2 per cell]
Ge: 0.250 0.750 0.500 [2 per cell]
P: 0.250 0.250 0.874 [2 per cell]

Main lines, by angle (10° ≤ 2θ ≤ 80°):
23.9°, I = 17, hkl 1 0 1
35.6°, I = 47, hkl 1 0 3
36.6°, I = 100, hkl 1 1 2
45.0°, I = 46, hkl 2 0 0
52.4°, I = 19, hkl 1 0 5
58.6°, I = 22, hkl 2 1 3
65.5°, I = 14, hkl 2 2 0
66.6°, I = 11, hkl 1 1 6
71.5°, I = 15, hkl 2 1 5
77.4°, I = 21, hkl 3 1 2

***

# NdYSiNi2Ge
Theoretical X-ray diffraction stick pattern, copper Kα. Input: a crystal structure in OQMD, relaxed with GGA-PBE.
No peak broadening, texture or thermal motion is included.

Atomic structure:
Cell: 4.1011 4.1011 7.9115 Å, 90.00 90.00 120.00°
Space group P3m1 (No. 156)
Symmetry-distinct sites (fractional):
Nd: 0.0000 0.0000 0.0000 [1 per cell]
Y: 0.0000 0.0000 0.4921 [1 per cell]
Si: 0.6667 0.3333 0.2568 [1 per cell]
Ni: 0.3333 0.6667 0.2621 [1 per cell]
Ni: 0.6667 0.3333 0.7298 [1 per cell]
Ge: 0.3333 0.6667 0.7362 [1 per cell]

Main lines, by angle (10° ≤ 2θ ≤ 80°):
11.2°, I = 4, hkl 0 0 1
25.1°, I = 13, hkl 1 0 0
27.5°, I = 7, hkl 0 1 1
33.9°, I = 100, hkl 1 0 2
44.2°, I = 41, hkl 1 1 0
45.9°, I = 11, hkl 0 0 4
56.8°, I = 25, hkl 0 2 2
65.6°, I = 23, hkl 1 1 4
74.7°, I = 19, hkl 2 1 2
77.2°, I = 8, hkl 1 0 6